Starting from a cell relaxed with PBE, the PXRD pattern of Ge2SbO6 was computed for Cu Kα (λ = 1.5418 Å).

Atomic structure:
a b c (Å): 10.387 9.382 5.711
angles (deg): 90.00 105.73 90.00
Atoms (fractional coordinates):
Ge 0.034 0.166 0.177
Ge 0.034 0.334 0.677
Ge 0.448 0.173 0.262
Ge 0.448 0.327 0.762
Ge 0.552 0.673 0.238
Ge 0.552 0.827 0.738
Ge 0.966 0.666 0.323
Ge 0.966 0.834 0.823
Sb 0.258 0.633 0.747
Sb 0.258 0.867 0.247
Sb 0.742 0.133 0.753
Sb 0.742 0.367 0.253
O 0.092 0.512 0.724
O 0.092 0.988 0.224
O 0.100 0.249 0.462
O 0.100 0.251 0.962
O 0.148 0.693 0.397
O 0.148 0.807 0.897
O 0.370 0.691 0.134
O 0.370 0.809 0.634
O 0.388 0.004 0.156
O 0.388 0.496 0.656
O 0.391 0.202 0.524
O 0.391 0.298 0.024
O 0.609 0.702 0.976
O 0.609 0.798 0.476
O 0.612 0.504 0.344
O 0.612 0.996 0.844
O 0.630 0.191 0.366
O 0.630 0.309 0.866
O 0.852 0.193 0.103
O 0.852 0.307 0.603
O 0.900 0.749 0.038
O 0.900 0.751 0.538
O 0.908 0.012 0.776
O 0.908 0.488 0.276

The 12 most intense peaks (15° ≤ 2θ ≤ 90°), sorted by position:
2θ = 18.74°, intensity 100, hkl 1 1 -1; 2θ = 18.92°, intensity 35, hkl 0 2 0; 2θ = 22.55°, intensity 26, hkl 1 1 1; 2θ = 28.05°, intensity 88, hkl 2 2 -1; 2θ = 28.42°, intensity 74, hkl 3 1 0; 2θ = 32.58°, intensity 35, hkl 0 0 2; 2θ = 32.97°, intensity 36, hkl 1 3 -1; 2θ = 33.32°, intensity 64, hkl 2 2 1; 2θ = 37.46°, intensity 19, hkl 1 1 2; 2θ = 37.58°, intensity 24, hkl 3 1 -2; 2θ = 53.10°, intensity 20, hkl 5 3 -1; 2θ = 56.27°, intensity 16, hkl 6 0 -2